Calculated PXRD pattern of TaMn5V4 for Cu Kα (λ = 1.5418 Å), from the PBE geometry in Alexandria.

```
data_TaMn5V4
_symmetry_space_group_name_H-M 'P 4/m m m'
_symmetry_Int_Tables_number 123
_symmetry_space_group_name_Hall '-P 4 2'
_cell_length_a 2.915
_cell_length_b 2.915
_cell_length_c 14.594
_cell_angle_alpha 90.00
_cell_angle_beta 90.00
_cell_angle_gamma 90.00
loop_
_atom_site_label
_atom_site_type_symbol
_atom_site_fract_x
_atom_site_fract_y
_atom_site_fract_z
Ta1 Ta 0.000 0.000 0.000
Mn1 Mn 0.500 0.500 0.110
Mn2 Mn 0.500 0.500 0.305
Mn3 Mn 0.500 0.500 0.500
V1 V 0.000 0.000 0.206
V2 V 0.000 0.000 0.402
```

The 12 most intense peaks (2θ = 15–90°), by intensity:
2θ = 43.91°, d 2.062, I = 100; 2θ = 80.72°, d 1.190, I = 29; 2θ = 63.84°, d 1.458, I = 15; 2θ = 31.29°, d 2.858, I = 7; 2θ = 33.09°, d 2.707, I = 6; 2θ = 39.57°, d 2.277, I = 6; 2θ = 35.92°, d 2.500, I = 6; 2θ = 18.24°, d 4.865, I = 5; 2θ = 30.66°, d 2.916, I = 3; 2θ = 24.40°, d 3.648, I = 3; 2θ = 44.39°, d 2.041, I = 2; 2θ = 45.74°, d 1.983, I = 2